# Ti9ZnS16
Simulated powder XRD pattern, λ = 1.5418 Å (Cu Kα). Input: a crystal structure in the Materials Project, relaxed with PBE.

Atomic structure:
Cell lengths 7.037, 13.920, 12.054 Å; angles 90.00, 124.86, 90.00 degrees
Space group Pc (No. 7)
One atom of each set of equivalent atoms:
Ti 0.000 0.004 0.000 (multiplicity 2)
Ti 0.003 0.238 0.503 (multiplicity 2)
Ti 0.003 0.369 0.243 (multiplicity 2)
Ti 0.009 0.247 0.008 (multiplicity 2)
Ti 0.012 0.487 0.010 (multiplicity 2)
Ti 0.014 0.120 0.753 (multiplicity 2)
Ti 0.474 0.367 0.239 (multiplicity 2)
Ti 0.489 0.120 0.751 (multiplicity 2)
Ti 0.992 0.125 0.241 (multiplicity 2)
Zn 0.623 0.376 0.624 (multiplicity 2)
S 0.225 0.374 0.492 (multiplicity 2)
S 0.243 0.123 0.998 (multiplicity 2)
S 0.244 0.373 0.997 (multiplicity 2)
S 0.246 0.245 0.746 (multiplicity 2)
S 0.252 0.494 0.250 (multiplicity 2)
S 0.253 0.122 0.500 (multiplicity 2)
S 0.257 0.006 0.253 (multiplicity 2)
S 0.260 0.244 0.257 (multiplicity 2)
S 0.740 0.124 0.997 (multiplicity 2)
S 0.750 0.000 0.249 (multiplicity 2)
S 0.751 0.247 0.249 (multiplicity 2)
S 0.754 0.239 0.757 (multiplicity 2)
S 0.754 0.489 0.257 (multiplicity 2)
S 0.757 0.370 0.001 (multiplicity 2)
S 0.761 0.375 0.491 (multiplicity 2)
S 0.762 0.121 0.506 (multiplicity 2)

Most intense lines, 2θ = 15–90°, sorted by position:
two_theta, I (rel.), hkl
15.35, 17.1, 1 0 0
29.98, 15.7, 0 2 3
30.10, 18.3, 1 0 -4
36.32, 100.0, 0 0 4
52.01, 28.4, 2 4 2
52.60, 40.5, 2 4 -6